Record 1
This entry pairs a crystal structure of LaPm7Tm12 with its theoretical XRD peak list. Radiation: CuKα. Structure: a DFT-relaxed cell (PBE, Alexandria).

Main lines, by intensity (2θ from 10° to 90°):
d = 2.804 Å, I 100
d = 3.238 Å, I 77
d = 1.983 Å, I 74
d = 1.691 Å, I 36
d = 1.254 Å, I 33
d = 1.619 Å, I 26

Atomic structure:
```
LaPm7Tm12
1.0
-5.608 5.608 5.608
5.608 -5.608 5.608
5.608 5.608 -5.608
La Pm Tm
1 7 12
Direct
0.000 0.000 0.000
0.000 0.000 0.500
0.000 0.500 0.000
0.000 0.500 0.500
0.500 0.000 0.000
0.500 0.000 0.500
0.500 0.500 0.000
0.500 0.500 0.500
0.000 0.253 0.747
0.000 0.747 0.253
0.253 0.000 0.747
0.253 0.253 0.506
0.253 0.506 0.253
0.253 0.747 0.000
0.494 0.747 0.747
0.506 0.253 0.253
0.747 0.000 0.253
0.747 0.253 0.000
0.747 0.494 0.747
0.747 0.747 0.494
```

Record 2
This entry pairs a crystal structure of La5Pm2Tm3 with its theoretical XRD peak list. Radiation: CuKα. Structure: a DFT-relaxed cell (PBE, Alexandria).

Main lines, by intensity (2θ from 10° to 90°):
d = 2.901 Å, I 100
d = 3.077 Å, I 93
d = 2.743 Å, I 47
d = 2.535 Å, I 26
d = 1.499 Å, I 26
d = 1.548 Å, I 24

Atomic structure:
```
La5Pm2Tm3
1.0
5.486 -7.456 0.000
5.486 7.456 0.000
-5.485 0.000 8.574
La Pm Tm
10 4 6
Direct
0.018 0.982 0.750
0.121 0.382 0.750
0.226 0.774 0.750
0.382 0.121 0.250
0.477 0.523 0.250
0.523 0.477 0.750
0.618 0.879 0.750
0.774 0.226 0.250
0.879 0.618 0.250
0.982 0.018 0.250
0.026 0.285 0.061
0.285 0.026 0.561
0.715 0.974 0.439
0.974 0.715 0.939
0.223 0.476 0.443
0.270 0.730 0.250
0.476 0.223 0.943
0.524 0.777 0.057
0.730 0.270 0.750
0.777 0.524 0.557
```

Record 3
This entry pairs a crystal structure of La4Pm4Tm3 with its theoretical XRD peak list. Radiation: CuKα. Structure: a DFT-relaxed cell (PBE, Alexandria).

Main lines, by intensity (2θ from 10° to 90°):
d = 2.885 Å, I 100
d = 2.876 Å, I 34
d = 2.860 Å, I 34
d = 2.945 Å, I 31
d = 1.668 Å, I 12
d = 1.652 Å, I 12

Atomic structure:
```
La4Pm4Tm3
1.0
3.575 0.000 0.000
0.000 5.776 0.000
-1.782 -2.772 18.170
La Pm Tm
4 4 3
Direct
0.048 0.063 0.096
0.178 0.681 0.357
0.822 0.319 0.643
0.952 0.937 0.904
0.089 0.600 0.179
0.233 0.233 0.465
0.767 0.767 0.535
0.911 0.400 0.821
0.364 0.859 0.728
0.500 0.500 0.000
0.636 0.141 0.272
```

Record 4
This entry pairs a crystal structure of La3Pm8Tm2 with its theoretical XRD peak list. Radiation: CuKα. Structure: a DFT-relaxed cell (PBE, Alexandria).

Main lines, by intensity (2θ from 10° to 90°):
d = 2.882 Å, I 100
d = 2.965 Å, I 92
d = 2.748 Å, I 30
d = 2.772 Å, I 28
d = 3.050 Å, I 26
d = 1.694 Å, I 20

Atomic structure:
```
La3Pm8Tm2
1.0
6.680 -5.923 0.000
6.680 5.923 0.000
-2.428 0.000 5.734
La Pm Tm
3 8 2
Direct
0.000 0.000 0.000
0.238 0.762 0.500
0.762 0.238 0.500
0.080 0.568 0.823
0.160 0.160 0.547
0.432 0.920 0.177
0.443 0.443 0.712
0.557 0.557 0.288
0.568 0.080 0.823
0.840 0.840 0.453
0.920 0.432 0.177
0.290 0.290 0.137
0.710 0.710 0.863
```

Record 5
This entry pairs a crystal structure of La4Pm2Tm7 with its theoretical XRD peak list. Radiation: CuKα. Structure: a DFT-relaxed cell (PBE, Alexandria).

Main lines, by intensity (2θ from 10° to 90°):
d = 2.732 Å, I 100
d = 2.951 Å, I 83
d = 2.922 Å, I 74
d = 2.838 Å, I 59
d = 2.797 Å, I 58
d = 2.940 Å, I 51

Atomic structure:
```
La4Pm2Tm7
1.0
6.464 0.000 0.000
-2.655 5.961 0.000
-2.381 -1.102 11.284
La Pm Tm
4 2 7
Direct
0.118 0.135 0.363
0.269 0.703 0.466
0.731 0.297 0.534
0.882 0.865 0.637
0.439 0.713 0.017
0.561 0.287 0.983
0.000 0.000 0.000
0.052 0.536 0.172
0.358 0.390 0.698
0.471 0.929 0.758
0.529 0.071 0.242
0.642 0.610 0.302
0.948 0.464 0.828
```

Record 6
This entry pairs a crystal structure of La5PmTm2 with its theoretical XRD peak list. Radiation: CuKα. Structure: a DFT-relaxed cell (PBE, Alexandria).

Main lines, by intensity (2θ from 10° to 90°):
d = 2.914 Å, I 100
d = 2.893 Å, I 50
d = 3.077 Å, I 42
d = 3.172 Å, I 34
d = 2.971 Å, I 27
d = 1.674 Å, I 22

Atomic structure:
```
La5PmTm2
1.0
8.501 -5.059 0.000
8.501 5.059 0.000
-1.258 0.000 6.608
La Pm Tm
10 2 4
Direct
0.058 0.942 0.750
0.117 0.292 0.026
0.292 0.117 0.526
0.312 0.503 0.857
0.497 0.688 0.643
0.503 0.312 0.357
0.688 0.497 0.143
0.708 0.883 0.474
0.883 0.708 0.974
0.942 0.058 0.250
0.000 0.500 0.500
0.500 0.000 0.000
0.174 0.664 0.356
0.336 0.826 0.144
0.664 0.174 0.856
0.826 0.336 0.644
```

Record 7
This entry pairs a crystal structure of La7PmTm3 with its theoretical XRD peak list. Radiation: CuKα. Structure: a DFT-relaxed cell (PBE, Alexandria).

Main lines, by intensity (2θ from 10° to 90°):
d = 2.844 Å, I 100
d = 2.881 Å, I 59
d = 2.824 Å, I 36
d = 2.761 Å, I 23
d = 2.902 Å, I 16
d = 3.344 Å, I 11

Atomic structure:
```
La7PmTm3
1.0
6.631 0.000 0.000
-0.639 6.741 0.000
-1.375 -1.639 8.640
La Pm Tm
7 1 3
Direct
0.000 0.000 0.000
0.046 0.709 0.644
0.210 0.223 0.707
0.481 0.736 0.910
0.519 0.264 0.090
0.790 0.777 0.293
0.954 0.291 0.356
0.000 0.500 0.000
0.318 0.924 0.336
0.500 0.500 0.500
0.682 0.076 0.664
```

Record 8
This entry pairs a crystal structure of La2Pm3Tm with its theoretical XRD peak list. Radiation: CuKα. Structure: a DFT-relaxed cell (PBE, Alexandria).

Main lines, by intensity (2θ from 10° to 90°):
d = 2.888 Å, I 100
d = 2.904 Å, I 93
d = 1.670 Å, I 37
d = 2.048 Å, I 35
d = 1.517 Å, I 29
d = 1.667 Å, I 20

Atomic structure:
```
La2Pm3Tm
1.0
7.132 0.000 0.000
0.000 10.005 0.000
0.000 0.000 5.776
La Pm Tm
4 6 2
Direct
0.248 0.168 0.000
0.252 0.668 0.500
0.748 0.332 0.500
0.752 0.832 0.000
0.000 0.500 0.000
0.250 0.332 0.500
0.250 0.832 0.000
0.500 0.000 0.500
0.750 0.168 0.000
0.750 0.668 0.500
0.000 0.000 0.500
0.500 0.500 0.000
```

Record 9
This entry pairs a crystal structure of La6Pm2YTm with its theoretical XRD peak list. Radiation: CuKα. Structure: a DFT-relaxed cell (PBE, Alexandria).

Main lines, by intensity (2θ from 10° to 90°):
d = 2.876 Å, I 100
d = 3.061 Å, I 98
d = 2.897 Å, I 56
d = 3.029 Å, I 56
d = 3.228 Å, I 51
d = 2.805 Å, I 46

Atomic structure:
```
La6Pm2YTm
1.0
4.931 -7.680 0.000
4.931 7.680 0.000
-0.291 0.000 9.306
La Pm Y Tm
12 4 2 2
Direct
0.038 0.476 0.680
0.068 0.783 0.901
0.217 0.932 0.599
0.274 0.576 0.088
0.424 0.726 0.412
0.476 0.038 0.180
0.524 0.962 0.820
0.576 0.274 0.588
0.726 0.424 0.912
0.783 0.068 0.401
0.932 0.217 0.099
0.962 0.524 0.320
0.207 0.297 0.438
0.297 0.207 0.938
0.703 0.793 0.062
0.793 0.703 0.562
0.074 0.926 0.250
0.926 0.074 0.750
0.439 0.561 0.750
0.561 0.439 0.250
```

Record 10
This entry pairs a crystal structure of La2Pm3YTm6 with its theoretical XRD peak list. Radiation: CuKα. Structure: a DFT-relaxed cell (PBE, Alexandria).

Main lines, by intensity (2θ from 10° to 90°):
d = 2.925 Å, I 100
d = 2.526 Å, I 67
d = 2.893 Å, I 32
d = 1.524 Å, I 28
d = 1.794 Å, I 24
d = 1.779 Å, I 23

Atomic structure:
```
La2Pm3YTm6
1.0
3.107 -5.379 0.000
3.107 5.379 0.000
-2.065 0.000 11.574
La Pm Y Tm
2 3 1 6
Direct
0.166 0.834 0.000
0.834 0.166 0.000
0.000 0.000 0.500
0.333 0.667 0.500
0.667 0.333 0.500
0.500 0.500 0.000
0.083 0.416 0.748
0.252 0.252 0.252
0.416 0.083 0.748
0.584 0.917 0.252
0.748 0.748 0.748
0.917 0.584 0.252
```

Record 11
This entry pairs a crystal structure of LaPm4Y2Tm2 with its theoretical XRD peak list. Radiation: CuKα. Structure: a DFT-relaxed cell (PBE, Alexandria).

Main lines, by intensity (2θ from 10° to 90°):
d = 2.951 Å, I 100
d = 2.941 Å, I 99
d = 2.553 Å, I 67
d = 1.803 Å, I 59
d = 1.537 Å, I 56
d = 2.547 Å, I 33

Atomic structure:
```
LaPm4Y2Tm2
1.0
7.657 -2.547 0.000
7.657 2.547 0.000
-2.514 0.000 7.663
La Pm Y Tm
1 4 2 2
Direct
0.000 0.000 0.000
0.223 0.223 0.331
0.445 0.445 0.668
0.555 0.555 0.332
0.777 0.777 0.669
0.112 0.112 0.666
0.888 0.888 0.334
0.331 0.331 0.001
0.669 0.669 0.999
```

Record 12
This entry pairs a crystal structure of LaPm6Y2Tm with its theoretical XRD peak list. Radiation: CuKα. Structure: a DFT-relaxed cell (PBE, Alexandria).

Main lines, by intensity (2θ from 10° to 90°):
d = 2.905 Å, I 100
d = 2.949 Å, I 64
d = 2.993 Å, I 62
d = 3.174 Å, I 44
d = 2.885 Å, I 40
d = 2.678 Å, I 32

Atomic structure:
```
LaPm6Y2Tm
1.0
4.667 -7.655 0.000
4.667 7.655 0.000
-1.215 0.000 9.587
La Pm Y Tm
2 12 4 2
Direct
0.093 0.907 0.750
0.907 0.093 0.250
0.014 0.794 0.381
0.066 0.518 0.183
0.206 0.986 0.119
0.262 0.611 0.556
0.389 0.738 0.944
0.482 0.934 0.317
0.518 0.066 0.683
0.611 0.262 0.056
0.738 0.389 0.444
0.794 0.014 0.881
0.934 0.482 0.817
0.986 0.206 0.619
0.209 0.305 0.953
0.305 0.209 0.453
0.695 0.791 0.547
0.791 0.695 0.047
0.467 0.533 0.250
0.533 0.467 0.750
```